No. 1
Starting from a GGA+U-relaxed structure, the powder XRD pattern of CaVF4 was simulated for Cu Kα, 1.54184 Å.
Peak positions follow from Bragg's law for the DFT cell and can differ from measured ones.

Principal peaks in the range 10° ≤ 2θ ≤ 90°, by intensity:
2θ 27.65, rel. 100
2θ 47.31, rel. 96
2θ 29.14, rel. 74
2θ 54.61, rel. 27
2θ 48.99, rel. 25
2θ 45.11, rel. 22
2θ 57.14, rel. 17
2θ 56.73, rel. 13
2θ 55.88, rel. 11
2θ 57.21, rel. 9

Cell and atoms:
```
data_CaVF4
_chemical_formula_sum 'Ca4 V4 F16'
_symmetry_space_group_name_H-M 'C 1 2/c 1'
_symmetry_Int_Tables_number 15
_cell_length_a 11.8625
_cell_length_b 5.4103
_cell_length_c 5.4721
_cell_angle_alpha 90.00
_cell_angle_beta 112.93
_cell_angle_gamma 90.00
loop_
_symmetry_equiv_pos_as_xyz
'x,y,z'
'-x,-y,-z'
'-x,y,-z+1/2'
'x,-y,z+1/2'
'x+1/2,y+1/2,z'
'-x+1/2,-y+1/2,-z'
'-x+1/2,y+1/2,-z+1/2'
'x+1/2,-y+1/2,z+1/2'
loop_
_atom_site_label
_atom_site_type_symbol
_atom_site_fract_x
_atom_site_fract_y
_atom_site_fract_z
Ca1 Ca 0.0000 0.2494 0.2500
V1 V 0.2500 0.2500 0.0000
F1 F 0.1073 0.0558 0.0228
F2 F 0.1443 0.4675 0.6421
```


No. 2
Starting from a GGA+U-relaxed structure, the powder XRD pattern of Ti2Mn3Cr3O16 was simulated for Cu Kα, 1.54184 Å.
Peak positions follow from Bragg's law for the DFT cell and can differ from measured ones.

Principal peaks in the range 10° ≤ 2θ ≤ 90°, by intensity:
2θ 20.18, rel. 100
2θ 19.68, rel. 80
2θ 37.04, rel. 50
2θ 36.76, rel. 41
2θ 47.03, rel. 39
2θ 26.52, rel. 30
2θ 41.01, rel. 29
2θ 63.39, rel. 27
2θ 34.74, rel. 27
2θ 63.95, rel. 25

Cell and atoms:
```
data_Ti2Mn3Cr3O16
_chemical_formula_sum 'Ti4 Mn6 Cr6 O32'
_symmetry_space_group_name_H-M 'C 1 m 1'
_symmetry_Int_Tables_number 8
_cell_length_a 10.0946
_cell_length_b 5.8101
_cell_length_c 9.0207
_cell_angle_alpha 90.00
_cell_angle_beta 90.06
_cell_angle_gamma 90.00
loop_
_symmetry_equiv_pos_as_xyz
'x,y,z'
'x,-y,z'
'x+1/2,y+1/2,z'
'x+1/2,-y+1/2,z'
loop_
_atom_site_label
_atom_site_type_symbol
_atom_site_fract_x
_atom_site_fract_y
_atom_site_fract_z
Ti1 Ti 0.0000 0.0000 0.0000
Ti2 Ti 0.1624 0.5000 0.4989
Mn1 Mn 0.1597 0.0000 0.7170
Mn2 Mn 0.2454 0.2546 0.2177
Cr1 Cr 0.4117 0.2532 0.7137
Cr2 Cr 0.4963 0.0000 0.2154
O1 O 0.0685 0.2151 0.8394
O2 O 0.0909 0.2843 0.3388
O3 O 0.1622 0.0000 0.1052
O4 O 0.1671 0.5000 0.1069
O5 O 0.2481 0.2542 0.6065
O6 O 0.3088 0.5000 0.3405
O7 O 0.3266 0.0000 0.3212
O8 O 0.3268 0.0000 0.8189
O9 O 0.3530 0.5000 0.8392
O10 O 0.4159 0.2500 0.1076
O11 O 0.4985 0.0000 0.6085
O12 O 0.4987 0.5000 0.6064
```


No. 3
Starting from a GGA+U-relaxed structure, the powder XRD pattern of VHO3 was simulated for Cu Kα, 1.54184 Å.
Peak positions follow from Bragg's law for the DFT cell and can differ from measured ones.

Principal peaks in the range 10° ≤ 2θ ≤ 90°, by intensity:
2θ 22.01, rel. 100
2θ 30.67, rel. 49
2θ 29.48, rel. 44
2θ 50.21, rel. 34
2θ 26.92, rel. 34
2θ 37.10, rel. 33
2θ 26.75, rel. 32
2θ 25.73, rel. 25
2θ 25.56, rel. 24
2θ 17.11, rel. 22

Cell and atoms:
```
data_VHO3
_chemical_formula_sum 'V4 H4 O12'
_symmetry_space_group_name_H-M 'P 1'
_symmetry_Int_Tables_number 1
_cell_length_a 3.6341
_cell_length_b 6.1756
_cell_length_c 12.1410
_cell_angle_alpha 93.53
_cell_angle_beta 90.03
_cell_angle_gamma 106.42
loop_
_symmetry_equiv_pos_as_xyz
'x,y,z'
loop_
_atom_site_label
_atom_site_type_symbol
_atom_site_fract_x
_atom_site_fract_y
_atom_site_fract_z
V1 V 0.0000 0.0000 0.0000
V2 V 0.1404 0.2810 0.7269
V3 V 0.7027 0.4165 0.0001
V4 V 0.8428 0.6980 0.7267
H1 H 0.0303 0.5557 0.3483
H2 H 0.3683 0.7647 0.3706
H3 H 0.5136 0.2319 0.3654
H4 H 0.8091 0.0932 0.3522
O1 O 0.0000 0.0006 0.1319
O2 O 0.1223 0.2440 0.5952
O3 O 0.1658 0.3405 0.9633
O4 O 0.3042 0.5990 0.3641
O5 O 0.3072 0.6244 0.7569
O6 O 0.5355 0.0732 0.9697
O7 O 0.5362 0.0787 0.3559
O8 O 0.6772 0.3574 0.7634
O9 O 0.7210 0.4512 0.1318
O10 O 0.8434 0.6997 0.5950
O11 O 0.8475 0.7023 0.9514
O12 O 0.9954 0.9957 0.7762
```


No. 4
Starting from a GGA+U-relaxed structure, the powder XRD pattern of Ca2DyFeO6 was simulated for Cu Kα, 1.54184 Å.
Peak positions follow from Bragg's law for the DFT cell and can differ from measured ones.

Principal peaks in the range 10° ≤ 2θ ≤ 90°, by intensity:
2θ 31.46, rel. 100
2θ 22.11, rel. 47
2θ 45.09, rel. 38
2θ 56.02, rel. 37
2θ 19.11, rel. 22
2θ 65.68, rel. 21
2θ 37.08, rel. 19
2θ 50.77, rel. 19
2θ 74.64, rel. 17
2θ 49.40, rel. 11

Cell and atoms:
```
data_Ca2DyFeO6
_chemical_formula_sum 'Ca8 Dy4 Fe4 O24'
_symmetry_space_group_name_H-M 'F m -3 m'
_symmetry_Int_Tables_number 225
_symmetry_space_group_name_Hall '-F 4 2 3'
_cell_length_a 8.0420
_cell_length_b 8.0420
_cell_length_c 8.0420
_cell_angle_alpha 90.00
_cell_angle_beta 90.00
_cell_angle_gamma 90.00
loop_
_atom_site_label
_atom_site_type_symbol
_atom_site_fract_x
_atom_site_fract_y
_atom_site_fract_z
Ca1 Ca 0.2500 0.2500 0.2500
Dy1 Dy 0.0000 0.0000 0.0000
Fe1 Fe 0.0000 0.0000 0.5000
O1 O 0.0000 0.0000 0.2688
```


No. 5
Starting from a GGA+U-relaxed structure, the powder XRD pattern of CrFe2P3O12 was simulated for Cu Kα, 1.54184 Å.
Peak positions follow from Bragg's law for the DFT cell and can differ from measured ones.

Principal peaks in the range 10° ≤ 2θ ≤ 90°, by intensity:
2θ 24.48, rel. 100
2θ 20.62, rel. 83
2θ 33.63, rel. 71
2θ 36.12, rel. 41
2θ 50.18, rel. 28
2θ 48.18, rel. 26
2θ 63.37, rel. 23
2θ 56.53, rel. 22
2θ 32.05, rel. 14
2θ 25.43, rel. 13

Cell and atoms:
```
data_CrFe2P3O12
_chemical_formula_sum 'Cr6 Fe12 P18 O72'
_symmetry_space_group_name_H-M 'R -3 c'
_symmetry_Int_Tables_number 167
_symmetry_space_group_name_Hall '-R 3 2"c'
_cell_length_a 8.6143
_cell_length_b 8.6143
_cell_length_c 20.3514
_cell_angle_alpha 90.00
_cell_angle_beta 90.00
_cell_angle_gamma 120.00
loop_
_atom_site_label
_atom_site_type_symbol
_atom_site_fract_x
_atom_site_fract_y
_atom_site_fract_z
Cr1 Cr 0.0000 0.0000 0.0000
Fe1 Fe 0.0000 0.0000 0.1461
P1 P 0.0000 0.2984 0.2500
O1 O 0.0091 0.1760 0.9279
O2 O 0.0130 0.2062 0.3117
```


No. 6
Starting from a GGA+U-relaxed structure, the powder XRD pattern of Li9Mn7O16 was simulated for Cu Kα, 1.54184 Å.
Peak positions follow from Bragg's law for the DFT cell and can differ from measured ones.

Principal peaks in the range 10° ≤ 2θ ≤ 90°, by intensity:
2θ 18.32, rel. 100
2θ 44.32, rel. 53
2θ 40.70, rel. 34
2θ 36.30, rel. 23
2θ 33.84, rel. 18
2θ 61.45, rel. 16
2θ 61.95, rel. 8
2θ 62.06, rel. 8
2θ 65.03, rel. 7
2θ 63.91, rel. 7

Cell and atoms:
```
data_Li9Mn7O16
_chemical_formula_sum 'Li9 Mn7 O16'
_symmetry_space_group_name_H-M 'P -1'
_symmetry_Int_Tables_number 2
_cell_length_a 5.0865
_cell_length_b 5.3339
_cell_length_c 11.1533
_cell_angle_alpha 87.07
_cell_angle_beta 80.55
_cell_angle_gamma 83.54
loop_
_symmetry_equiv_pos_as_xyz
'x,y,z'
'-x,-y,-z'
loop_
_atom_site_label
_atom_site_type_symbol
_atom_site_fract_x
_atom_site_fract_y
_atom_site_fract_z
Li1 Li 0.0000 0.0000 0.0000
Li2 Li 0.0644 0.7531 0.4383
Li3 Li 0.1823 0.2503 0.3120
Li4 Li 0.3193 0.7411 0.1864
Li5 Li 0.4209 0.2535 0.0587
Mn1 Mn 0.1247 0.5005 0.8763
Mn2 Mn 0.2487 0.9995 0.7535
Mn3 Mn 0.3746 0.4997 0.6257
Mn4 Mn 0.5000 0.0000 0.5000
O1 O 0.0446 0.3909 0.7230
O2 O 0.0536 0.1609 0.1560
O3 O 0.1715 0.8942 0.5960
O4 O 0.2013 0.6030 0.0290
O5 O 0.2947 0.3970 0.4705
O6 O 0.3174 0.1589 0.8968
O7 O 0.4197 0.8949 0.3447
O8 O 0.4511 0.6080 0.7811
```


No. 7
Starting from a GGA+U-relaxed structure, the powder XRD pattern of MnP2H2O8 was simulated for Cu Kα, 1.54184 Å.
Peak positions follow from Bragg's law for the DFT cell and can differ from measured ones.

Principal peaks in the range 10° ≤ 2θ ≤ 90°, by intensity:
2θ 11.57, rel. 100
2θ 26.21, rel. 85
2θ 25.30, rel. 26
2θ 24.13, rel. 25
2θ 28.51, rel. 18
2θ 35.32, rel. 16
2θ 29.31, rel. 14
2θ 24.70, rel. 13
2θ 22.70, rel. 12
2θ 53.91, rel. 11

Cell and atoms:
```
data_MnP2H2O8
_chemical_formula_sum 'Mn4 P8 H8 O32'
_symmetry_space_group_name_H-M 'P 1 21/c 1'
_symmetry_Int_Tables_number 14
_cell_length_a 7.6874
_cell_length_b 15.2989
_cell_length_c 5.1541
_cell_angle_alpha 90.00
_cell_angle_beta 98.64
_cell_angle_gamma 90.00
loop_
_symmetry_equiv_pos_as_xyz
'x,y,z'
'-x,-y,-z'
'-x,y+1/2,-z+1/2'
'x,-y+1/2,z+1/2'
loop_
_atom_site_label
_atom_site_type_symbol
_atom_site_fract_x
_atom_site_fract_y
_atom_site_fract_z
Mn1 Mn 0.2066 0.0014 0.1776
P1 P 0.1384 0.1244 0.6605
P2 P 0.3871 0.6044 0.2443
H1 H 0.0059 0.7402 0.0108
H2 H 0.4098 0.7427 0.3531
O1 O 0.0097 0.2071 0.6571
O2 O 0.0698 0.0624 0.8617
O3 O 0.1026 0.0876 0.3791
O4 O 0.2668 0.5904 0.4545
O5 O 0.3209 0.5625 0.9828
O6 O 0.3312 0.1488 0.7409
O7 O 0.3846 0.7071 0.1913
O8 O 0.4220 0.0763 0.1516
```


No. 8
Starting from a GGA+U-relaxed structure, the powder XRD pattern of FeC6O6 was simulated for Cu Kα, 1.54184 Å.
Peak positions follow from Bragg's law for the DFT cell and can differ from measured ones.

Principal peaks in the range 10° ≤ 2θ ≤ 90°, by intensity:
2θ 16.34, rel. 100
2θ 32.89, rel. 17
2θ 22.75, rel. 15
2θ 15.75, rel. 14
2θ 33.02, rel. 14
2θ 40.62, rel. 9
2θ 38.12, rel. 7
2θ 34.52, rel. 5
2θ 35.96, rel. 4
2θ 50.46, rel. 4

Cell and atoms:
```
data_FeC6O6
_chemical_formula_sum 'Fe2 C12 O12'
_symmetry_space_group_name_H-M 'C 1 2/m 1'
_symmetry_Int_Tables_number 12
_cell_length_a 5.1973
_cell_length_b 11.2542
_cell_length_c 11.1090
_cell_angle_alpha 90.00
_cell_angle_beta 102.34
_cell_angle_gamma 90.00
loop_
_symmetry_equiv_pos_as_xyz
'x,y,z'
'-x,-y,-z'
'-x,y,-z'
'x,-y,z'
'x+1/2,y+1/2,z'
'-x+1/2,-y+1/2,-z'
'-x+1/2,y+1/2,-z'
'x+1/2,-y+1/2,z'
loop_
_atom_site_label
_atom_site_type_symbol
_atom_site_fract_x
_atom_site_fract_y
_atom_site_fract_z
Fe1 Fe 0.0000 0.0000 0.0000
C1 C 0.1205 0.2440 0.0000
C2 C 0.2448 0.5000 0.4882
O1 O 0.1328 0.5000 0.0009
O2 O 0.2447 0.3956 0.4885
```